The following is a theoretical XRD peak list of KGaAuO. It was derived from a cell relaxed with GGA-PBE, using Cu Kα (λ = 1.5418 Å).
No peak broadening, texture or thermal motion is included.

Largest 10 diffraction maxima, sorted by position, 2θ = 15–90°:
(0 2 1), 16.64 deg, rel. 100
(1 1 0), 22.17 deg, rel. 28
(1 1 1), 25.72 deg, rel. 48
(1 3 0), 26.79 deg, rel. 25
(0 2 2), 28.05 deg, rel. 44
(1 3 1), 29.83 deg, rel. 63
(1 5 1), 36.81 deg, rel. 47
(1 3 2), 37.63 deg, rel. 41
(1 7 0), 43.51 deg, rel. 59
(1 5 3), 53.19 deg, rel. 32

Structure:
```
data_KGaAuO
_cell_length_a 4.128
_cell_length_b 16.870
_cell_length_c 6.871
_cell_angle_alpha 90.00
_cell_angle_beta 90.00
_cell_angle_gamma 90.00
_space_group_name_H-M_alt 'P 1'
_space_group_IT_number 1
_space_group_name_Hall 'P 1'
loop_
_atom_site_label
_atom_site_type_symbol
_atom_site_fract_x
_atom_site_fract_y
_atom_site_fract_z
K1 K 0.000 0.120 0.000
K2 K 0.000 0.880 0.000
K3 K 0.500 0.380 0.000
K4 K 0.500 0.620 0.000
Ga1 Ga 0.000 0.423 0.551
Ga2 Ga 0.000 0.577 0.551
Ga3 Ga 0.500 0.077 0.551
Ga4 Ga 0.500 0.923 0.551
Au1 Au 0.000 0.303 0.346
Au2 Au 0.000 0.697 0.346
Au3 Au 0.500 0.197 0.346
Au4 Au 0.500 0.803 0.346
O1 O 0.000 0.397 0.797
O2 O 0.000 0.603 0.797
O3 O 0.500 0.103 0.797
O4 O 0.500 0.897 0.797
```